Starting from a DFT-relaxed cell (PBE+U, Alexandria), the powder diffractogram of Li3Mn3O3F5 was computed for Cu Kα X-rays.

The 10 most intense peaks (2θ from 10° to 90°), in order of rising 2θ:
2θ/deg	Rel. int.	h k l
17.38	22	0 0 1
17.74	100	2 0 -1
18.01	26	1 1 0
32.70	21	2 0 1
35.34	34	0 2 1
39.58	41	4 0 0
42.92	60	2 2 -2
45.77	17	2 0 -3
59.30	23	2 2 2
60.30	20	6 2 -2

Structural model:
```
data_Li3Mn3O3F5
_symmetry_space_group_name_H-M 'C 1 m 1'
_symmetry_Int_Tables_number 8
_cell_length_a 10.835
_cell_length_b 5.858
_cell_length_c 6.069
_cell_angle_alpha 90.00
_cell_angle_beta 122.80
_cell_angle_gamma 90.00
loop_
_symmetry_equiv_pos_as_xyz
'x,y,z'
'x,-y,z'
'x+1/2,y+1/2,z'
'x+1/2,-y+1/2,z'
loop_
_atom_site_label
_atom_site_fract_x
_atom_site_fract_y
_atom_site_fract_z
_atom_site_occupancy
Li1 0.000 0.000 0.000 1
Li2 0.108 0.500 0.320 1
Li3 0.344 0.000 0.600 1
Mn1 0.232 0.243 0.986 1
Mn2 0.480 0.500 0.480 1
O1 0.214 0.000 0.754 1
O2 0.226 0.000 0.192 1
O3 0.248 0.500 0.204 1
F1 0.230 0.500 0.752 1
F2 0.478 0.259 0.208 1
F3 0.482 0.253 0.743 1
```